For Nb6Al11Ir, a crystal structure in Alexandria, relaxed with PBE gives the theoretical XRD peak list in this record (Cu Kα).

```
36
Lattice="8.9542 0.0000 0.0000 -4.4771 7.7546 0.0000 0.0000 0.0000 8.2136" Properties=species:S:1:pos:R:3 pbc="T T T"
Nb -1.5151 2.6242 0.5401
Nb -1.5151 2.6242 3.5667
Nb -2.9620 5.1303 4.6469
Nb -2.9620 5.1303 7.6735
Nb 3.0302 0.0000 0.5401
Nb 3.0302 0.0000 3.5667
Nb 1.5151 2.6242 4.6469
Nb 1.5151 2.6242 7.6735
Nb 5.9240 0.0000 4.6469
Nb 5.9240 0.0000 7.6735
Nb 2.9620 5.1303 0.5401
Nb 2.9620 5.1303 3.5667
Al -0.7427 1.2865 6.1602
Al -3.7343 6.4681 2.0534
Al -0.7540 3.8047 6.1602
Al -1.5591 5.1992 2.0534
Al 1.4855 0.0000 6.1602
Al 0.7427 1.2865 2.0534
Al 0.7540 3.8047 2.0534
Al -0.8051 6.5052 6.1602
Al 0.0000 5.1697 0.0000
Al 0.0000 5.1697 4.1068
Al 3.6720 1.2493 6.1602
Al 2.9180 2.5554 2.0534
Al 1.5591 5.1992 6.1602
Al 0.8051 6.5052 2.0534
Al 4.4771 2.5848 0.0000
Al 4.4771 2.5848 4.1068
Al 5.2822 1.2493 2.0534
Al 3.7230 3.9498 6.1602
Al 7.4687 0.0000 2.0534
Al 3.7343 6.4681 6.1602
Al 6.0362 2.5554 6.1602
Al 5.2311 3.9498 2.0534
Ir 0.0000 0.0000 0.0000
Ir 0.0000 0.0000 4.1068
```

Largest 6 diffraction maxima, low angle first, 10 to 90 degrees two-theta:
Position (°2θ), d/Å, intensity, index
11.4, 7.755, 50, 1 0 0
34.7, 2.585, 87, 3 0 0
38.5, 2.336, 71, 1 1 3
41.3, 2.188, 100, 3 0 2
41.8, 2.160, 31, 2 2 1
64.8, 1.439, 28, 4 1 3